Structure and simulated XRD peak list of NaAlSi4 (the GGA-PBE geometry in Alexandria; copper Kα).
Neutral-atom scattering factors, no anomalous dispersion.

Crystal structure
```
6
Lattice="4.364 0.000 0.000 0.000 4.364 0.000 0.000 0.000 5.952" Properties=species:S:1:pos:R:3 pbc="T T T"
Na 0.000 0.000 0.000
Al 2.182 2.182 2.007
Si 0.000 0.000 2.730
Si 0.000 2.182 3.886
Si 2.182 0.000 3.886
Si 2.182 2.182 5.201
```

Principal peaks in the range 10 to 90 degrees two-theta, in order of rising 2θ:
d [Å], 2θ (°), intensity
5.952, 14.88, 581
2.739, 32.69, 541
2.459, 36.55, 464
2.182, 41.38, 826
2.142, 42.19, 1000
1.632, 56.38, 248
1.543, 59.96, 265
1.252, 76.02, 344



Structure and simulated XRD peak list of Li2Pm3Mg3 (the GGA-PBE geometry in Alexandria; copper Kα).
Neutral-atom scattering factors, no anomalous dispersion.

Crystal structure
```
8
Lattice="2.664 1.538 8.692 -2.664 1.538 8.692 0.000 -3.076 8.692" Properties=species:S:1:pos:R:3 pbc="T T T"
Li 0.000 0.000 0.000
Li 0.000 0.000 12.842
Pm 0.000 0.000 3.209
Pm 0.000 0.000 16.224
Pm 0.000 0.000 22.758
Mg 0.000 0.000 6.576
Mg 0.000 0.000 9.716
Mg 0.000 0.000 19.436
```

Principal peaks in the range 10 to 90 degrees two-theta, in order of rising 2θ:
d [Å], 2θ (°), intensity
3.766, 23.62, 724
2.663, 33.65, 1000
2.174, 41.53, 221
1.883, 48.33, 180
1.684, 54.48, 301
1.538, 60.18, 370
1.255, 75.77, 143
1.191, 80.67, 157



Structure and simulated XRD peak list of Mg5In2HgIr2 (the GGA-PBE geometry in Alexandria; copper Kα).
Neutral-atom scattering factors, no anomalous dispersion.

Crystal structure
```
20
Lattice="9.685 0.000 0.000 0.000 9.685 0.000 0.000 0.000 4.237" Properties=species:S:1:pos:R:3 pbc="T T T"
Mg 0.000 4.842 0.000
Mg 0.755 2.022 0.000
Mg 2.022 8.930 0.000
Mg 2.820 4.088 0.000
Mg 4.088 6.865 0.000
Mg 4.842 0.000 0.000
Mg 5.597 2.820 0.000
Mg 6.865 5.597 0.000
Mg 7.662 0.755 0.000
Mg 8.930 7.662 0.000
In 1.672 6.514 2.119
In 3.171 1.672 2.119
In 6.514 8.013 2.119
In 8.013 3.171 2.119
Hg 0.000 0.000 2.119
Hg 4.842 4.842 2.119
Ir 1.160 3.682 2.119
Ir 3.682 8.525 2.119
Ir 6.003 1.160 2.119
Ir 8.525 6.003 2.119
```

Principal peaks in the range 10 to 90 degrees two-theta, in order of rising 2θ:
d [Å], 2θ (°), intensity
4.237, 20.97, 776
3.063, 29.16, 549
2.663, 33.65, 188
2.482, 36.19, 1000
2.269, 39.73, 360
2.119, 42.68, 239
1.742, 52.52, 219
1.587, 58.11, 158



Structure and simulated XRD peak list of ScCo12 (the GGA-PBE geometry in Alexandria; copper Kα).
Neutral-atom scattering factors, no anomalous dispersion.

Crystal structure
```
13
Lattice="0.000 4.705 4.705 4.705 0.000 4.705 4.705 4.705 0.000" Properties=species:S:1:pos:R:3 pbc="T T T"
Sc 0.000 0.000 0.000
Co 4.705 3.103 3.103
Co 6.307 4.705 3.103
Co 6.307 3.103 4.705
Co 3.103 4.705 3.103
Co 4.705 6.307 3.103
Co 3.103 3.103 4.705
Co 6.307 6.307 4.705
Co 4.705 3.103 6.307
Co 6.307 4.705 6.307
Co 3.103 6.307 4.705
Co 3.103 4.705 6.307
Co 4.705 6.307 6.307
```

Principal peaks in the range 10 to 90 degrees two-theta, in order of rising 2θ:
d [Å], 2θ (°), intensity
5.433, 16.32, 534
3.327, 26.80, 341
2.837, 31.53, 1000
2.716, 32.97, 393
1.811, 50.39, 914
1.591, 57.98, 354
1.568, 58.88, 570
1.109, 88.08, 338



Structure and simulated XRD peak list of Dy2TmCo9 (the GGA-PBE geometry in Alexandria; copper Kα).
Neutral-atom scattering factors, no anomalous dispersion.

Crystal structure
```
12
Lattice="2.477 1.430 8.123 -2.477 1.430 8.123 0.000 -2.860 8.123" Properties=species:S:1:pos:R:3 pbc="T T T"
Dy 0.000 0.000 3.400
Dy 0.000 0.000 20.971
Tm 0.000 0.000 0.000
Co -1.247 -0.720 10.094
Co 0.000 0.000 8.155
Co 0.000 -1.440 14.277
Co -1.247 0.720 14.277
Co 0.000 0.000 12.185
Co 1.247 -0.720 10.094
Co 0.000 1.440 10.094
Co 0.000 0.000 16.215
Co 1.247 0.720 14.277
```

Principal peaks in the range 10 to 90 degrees two-theta, in order of rising 2θ:
d [Å], 2θ (°), intensity
2.704, 33.13, 543
2.484, 36.16, 458
2.477, 36.26, 569
2.137, 42.29, 400
2.115, 42.75, 1000
1.431, 65.19, 259
1.349, 69.71, 217
1.239, 76.99, 212



Structure and simulated XRD peak list of Li5ZnPd4 (the GGA-PBE geometry in Alexandria; copper Kα).
Neutral-atom scattering factors, no anomalous dispersion.

Crystal structure
```
10
Lattice="3.074 0.000 0.000 0.000 3.074 0.000 0.000 0.000 14.406" Properties=species:S:1:pos:R:3 pbc="T T T"
Li 0.000 0.000 0.000
Li 0.000 0.000 2.878
Li 0.000 0.000 5.673
Li 0.000 0.000 8.734
Li 0.000 0.000 11.529
Zn 1.537 1.537 7.203
Pd 1.537 1.537 1.454
Pd 1.537 1.537 4.378
Pd 1.537 1.537 10.028
Pd 1.537 1.537 12.953
```

Principal peaks in the range 10 to 90 degrees two-theta, in order of rising 2θ:
d [Å], 2θ (°), intensity
3.074, 29.05, 1000
2.881, 31.04, 417
2.173, 41.55, 458
2.102, 43.03, 822
1.735, 52.76, 364
1.375, 68.23, 165
1.356, 69.30, 156
1.241, 76.84, 284



Structure and simulated XRD peak list of PuCoIr (the GGA-PBE geometry in Alexandria; copper Kα).
Neutral-atom scattering factors, no anomalous dispersion.

Crystal structure
```
6
Lattice="-2.055 2.055 5.994 2.055 -2.055 5.994 2.055 2.055 -5.994" Properties=species:S:1:pos:R:3 pbc="T T T"
Pu 0.000 0.000 2.039
Pu 0.000 0.000 9.949
Co 0.000 0.000 4.418
Co 0.000 0.000 7.570
Ir 2.055 0.000 0.000
Ir 0.000 2.055 0.000
```

Principal peaks in the range 10 to 90 degrees two-theta, in order of rising 2θ:
d [Å], 2θ (°), intensity
2.865, 31.22, 421
2.615, 34.29, 1000
2.087, 43.37, 627
2.055, 44.06, 579
1.998, 45.39, 216
1.433, 65.11, 300
1.270, 74.72, 218
1.193, 80.55, 207



Structure and simulated XRD peak list of Na3Cd2Te4 (the GGA-PBE geometry in Alexandria; copper Kα).
Neutral-atom scattering factors, no anomalous dispersion.

Crystal structure
```
9
Lattice="8.065 -2.063 0.000 8.065 2.063 0.000 -7.977 0.000 9.366" Properties=species:S:1:pos:R:3 pbc="T T T"
Na 0.000 0.000 0.000
Na -3.476 0.000 7.461
Na 11.630 0.000 1.904
Cd 0.613 0.000 6.132
Cd 7.540 0.000 3.234
Te 1.525 0.000 3.389
Te 5.820 0.000 1.050
Te 2.333 0.000 8.316
Te 6.629 0.000 5.977
```

Principal peaks in the range 10 to 90 degrees two-theta, in order of rising 2θ:
d [Å], 2θ (°), intensity
8.065, 10.97, 638
6.083, 14.56, 378
4.033, 22.04, 458
3.912, 22.73, 549
3.223, 27.68, 1000
2.893, 30.91, 330
2.360, 38.13, 523
2.096, 43.16, 316



Structure and simulated XRD peak list of Na4B5C3 (the GGA-PBE geometry in Alexandria; copper Kα).
Neutral-atom scattering factors, no anomalous dispersion.

Crystal structure
```
24
Lattice="9.929 0.000 0.000 0.000 2.802 0.000 -4.775 0.000 8.726" Properties=species:S:1:pos:R:3 pbc="T T T"
Na 0.000 0.000 0.000
Na -2.388 1.401 4.363
Na -1.118 0.000 6.519
Na 1.259 1.401 2.212
Na 2.577 0.000 4.363
Na 4.964 1.401 0.000
Na 3.894 1.401 6.514
Na 6.271 0.000 2.207
B -3.423 1.401 6.782
B -2.547 1.401 8.284
B -0.102 0.000 4.037
B 2.802 0.000 0.561
B 1.145 1.401 6.110
B 4.008 1.401 2.615
B 2.351 0.000 8.165
B 5.255 0.000 4.689
B 7.700 1.401 0.442
B 8.576 1.401 1.944
C -0.942 0.000 2.648
C 0.322 1.401 4.731
C 3.582 0.000 1.904
C 1.571 0.000 6.822
C 4.831 1.401 3.995
C 6.095 0.000 6.078
```

Principal peaks in the range 10 to 90 degrees two-theta, in order of rising 2θ:
d [Å], 2θ (°), intensity
2.533, 35.43, 110
2.452, 36.64, 163
2.179, 41.43, 490
2.137, 42.29, 389
2.127, 42.50, 1000
1.447, 64.41, 169
1.232, 77.48, 128
1.179, 81.70, 98



Structure and simulated XRD peak list of Ba6LiCa (the GGA-PBE geometry in Alexandria; copper Kα).
Neutral-atom scattering factors, no anomalous dispersion.

Crystal structure
```
8
Lattice="7.680 0.000 0.000 -0.008 7.680 0.000 -0.026 -0.003 7.683" Properties=species:S:1:pos:R:3 pbc="T T T"
Ba 7.661 7.676 1.912
Ba -0.016 0.001 5.771
Ba 1.895 3.835 3.837
Ba 3.801 5.746 7.682
Ba 3.844 1.930 0.001
Ba 5.750 3.842 3.847
Li -0.004 3.840 0.000
Ca 3.827 -0.002 3.842
```

Principal peaks in the range 10 to 90 degrees two-theta, in order of rising 2θ:
d [Å], 2θ (°), intensity
5.431, 16.32, 244
3.840, 23.16, 116
3.435, 25.94, 1000
3.136, 28.46, 275
2.218, 40.67, 148
2.131, 42.41, 176
1.920, 47.34, 120
1.677, 54.73, 145



Structure and simulated XRD peak list of Tb7Pm2Er2 (the GGA-PBE geometry in Alexandria; copper Kα).
Neutral-atom scattering factors, no anomalous dispersion.

Crystal structure
```
11
Lattice="-2.805 4.660 6.995 2.805 -4.660 6.995 2.805 4.660 -6.995" Properties=species:S:1:pos:R:3 pbc="T T T"
Tb 0.000 0.000 0.000
Tb 2.805 3.108 -3.557
Tb 2.805 0.000 5.252
Tb 0.000 1.553 3.438
Tb 2.805 3.108 3.557
Tb 0.000 4.660 1.743
Tb 0.000 1.553 10.552
Pm 2.805 2.834 0.000
Pm 0.000 1.826 6.995
Er 2.805 0.000 2.024
Er 0.000 4.660 4.971
```

Principal peaks in the range 10 to 90 degrees two-theta, in order of rising 2θ:
d [Å], 2θ (°), intensity
3.473, 25.65, 197
2.828, 31.64, 1000
2.802, 31.94, 873
2.718, 32.96, 609
2.533, 35.43, 203
1.981, 45.81, 256
1.624, 56.69, 192
1.579, 58.46, 237